No. 1
Theoretical PXRD pattern of La3Cu5 for a wavelength of 1.5418 Å, from the PBE geometry in Alexandria.

Cell lengths 9.4389, 9.4389, 4.5860 Å; angles 90.00, 90.00, 120.00 degrees
Space group P6_3/mcm (No. 193)
Inequivalent atoms, fractional coordinates:
La  0.0000  0.3657  0.2500
Cu  0.0000  0.1516  0.7500
Cu  0.3333  0.6667  0.0000

Main lines, in order of rising 2θ (10 to 90 degrees two-theta):
2θ (°)	intensity
27.1	1000
32.9	674
35.0	552
39.8	288
43.1	757
43.9	245
55.9	242
63.6	175

No. 2
Theoretical PXRD pattern of LaCu for a wavelength of 1.5418 Å, from the PBE geometry in Alexandria.

Cell lengths 5.9711, 5.9711, 5.8572 Å; angles 90.00, 90.00, 90.00 degrees
Space group P4_2/mnm (No. 136)
Inequivalent atoms, fractional coordinates:
La  0.1952  0.1952  0.0000
Cu  0.1605  0.1605  0.5000

Main lines, in order of rising 2θ (10 to 90 degrees two-theta):
2θ (°)	intensity
26.0	540
29.9	684
30.5	753
33.6	1000
43.3	496
46.0	816
64.3	238
72.9	327

No. 3
Theoretical PXRD pattern of LaCu4 for a wavelength of 1.5418 Å, from the PBE geometry in Alexandria.

Cell lengths 8.8399, 8.8399, 8.8399 Å; angles 90.00, 90.00, 90.00 degrees
Space group I-43m (No. 217)
Inequivalent atoms, fractional coordinates:
La  0.2159  0.2159  0.7841
Cu  0.0000  0.0000  0.3599
Cu  0.0000  0.2500  0.5000
Cu  0.0995  0.0995  0.0995

Main lines, in order of rising 2θ (10 to 90 degrees two-theta):
2θ (°)	intensity
28.6	450
35.2	802
38.1	643
40.8	229
43.4	1000
52.8	206
65.0	441
76.1	218

No. 4
Theoretical PXRD pattern of Li2LaCu for a wavelength of 1.5418 Å, from the PBE geometry in Alexandria.

Cell lengths 3.2908, 3.2908, 7.5762 Å; angles 90.00, 90.00, 90.00 degrees
Space group P4/mmm (No. 123)
Inequivalent atoms, fractional coordinates:
Li  0.0000  0.0000  0.1706
La  0.5000  0.5000  0.5000
Cu  0.5000  0.5000  0.0000

Main lines, in order of rising 2θ (10 to 90 degrees two-theta):
2θ (°)	intensity
11.7	314
23.5	687
27.1	918
36.2	1000
38.7	432
45.8	457
56.0	271
68.4	295

No. 5
Theoretical PXRD pattern of Li2LaCu9 for a wavelength of 1.5418 Å, from the PBE geometry in Alexandria.

Cell lengths 8.3966, 8.3966, 4.9712 Å; angles 90.00, 90.00, 90.00 degrees
Space group P4/mbm (No. 127)
Inequivalent atoms, fractional coordinates:
Li  0.1123  0.3877  0.0000
La  0.0000  0.0000  0.0000
Cu  0.0000  0.5000  0.5000
Cu  0.0638  0.2125  0.5000
Cu  0.1798  0.6798  0.2448

Main lines, in order of rising 2θ (10 to 90 degrees two-theta):
2θ (°)	intensity
17.8	390
23.3	435
23.7	289
35.2	464
38.4	1000
42.3	594
43.7	625
44.5	726

No. 6
Theoretical PXRD pattern of Li2La3Cu4 for a wavelength of 1.5418 Å, from the PBE geometry in Alexandria.

Cell lengths 11.0634, 4.4129, 8.7048 Å; angles 90.00, 113.03, 90.00 degrees
Space group C2/m (No. 12)
Inequivalent atoms, fractional coordinates:
Li  0.1669  0.0000  0.3343
La  0.0000  0.5000  0.0000
La  0.1399  0.0000  0.6903
Cu  0.0738  0.5000  0.4093
Cu  0.2271  0.0000  0.0596

Main lines, in order of rising 2θ (10 to 90 degrees two-theta):
2θ (°)	intensity
16.6	330
23.0	465
31.6	339
32.5	391
33.3	634
33.8	1000
39.5	612
40.9	396